1.
Calculated powder diffraction line list
Compound: Na4GaBr5
Radiation: Cu Kα
Structure: a DFT-relaxed cell (PBE, Alexandria)

Principal peaks in the range 2θ from 15° to 90°, by angle:
hkl, two_theta, intensity
4 0 -1, 25.3, 16
1 1 1, 25.4, 17
2 0 2, 29.3, 100
1 1 -4, 41.9, 36
5 1 0, 41.9, 24
0 2 0, 42.1, 12
8 0 -2, 51.8, 12
2 2 2, 52.1, 13
4 0 4, 60.8, 11
7 1 2, 68.9, 15

Cell and atoms:
```
data_Na4GaBr5
_chemical_formula_sum 'Na8 Ga2 Br10'
_symmetry_space_group_name_H-M 'C 1 2/m 1'
_symmetry_Int_Tables_number 12
_cell_length_a 14.3203
_cell_length_b 4.2968
_cell_length_c 10.5882
_cell_angle_alpha 90.00
_cell_angle_beta 119.60
_cell_angle_gamma 90.00
loop_
_symmetry_equiv_pos_as_xyz
'x,y,z'
'-x,-y,-z'
'-x,y,-z'
'x,-y,z'
'x+1/2,y+1/2,z'
'-x+1/2,-y+1/2,-z'
'-x+1/2,y+1/2,-z'
'x+1/2,-y+1/2,z'
loop_
_atom_site_label
_atom_site_fract_x
_atom_site_fract_y
_atom_site_fract_z
_atom_site_occupancy
Na1 0.0971 0.0000 0.3987 1
Na2 0.2022 0.5000 0.7963 1
Ga1 0.0000 0.5000 0.0000 1
Br1 0.0000 0.5000 0.5000 1
Br2 0.1057 0.0000 0.8942 1
Br3 0.2031 0.5000 0.3080 1
```

=====

2.
Calculated powder diffraction line list
Compound: NbHg
Radiation: Cu Kα
Structure: a DFT-relaxed cell (PBE, Alexandria)

Principal peaks in the range 2θ from 15° to 90°, by angle:
hkl, two_theta, intensity
0 0 3, 27.9, 18
1 1 0, 31.5, 14
1 1 -1, 32.6, 32
1 1 -2, 36.3, 87
1 1 2, 37.3, 100
0 0 4, 37.5, 48
2 0 0, 38.0, 27
0 2 0, 51.6, 21
0 2 4, 65.5, 19
1 1 6, 68.2, 18

Cell and atoms:
```
data_NbHg
_chemical_formula_sum 'Nb4 Hg4'
_symmetry_space_group_name_H-M 'C 1 2/m 1'
_symmetry_Int_Tables_number 12
_cell_length_a 4.7403
_cell_length_b 3.5443
_cell_length_c 9.6020
_cell_angle_alpha 90.00
_cell_angle_beta 92.80
_cell_angle_gamma 90.00
loop_
_symmetry_equiv_pos_as_xyz
'x,y,z'
'-x,-y,-z'
'-x,y,-z'
'x,-y,z'
'x+1/2,y+1/2,z'
'-x+1/2,-y+1/2,-z'
'-x+1/2,y+1/2,-z'
'x+1/2,-y+1/2,z'
loop_
_atom_site_label
_atom_site_fract_x
_atom_site_fract_y
_atom_site_fract_z
_atom_site_occupancy
Nb1 0.2408 0.0000 0.3870 1
Hg1 0.1759 0.5000 0.1371 1
```

=====

3.
Calculated powder diffraction line list
Compound: Pr11Dy9Ho4
Radiation: Cu Kα
Structure: a DFT-relaxed cell (PBE, Alexandria)

Principal peaks in the range 2θ from 15° to 90°, by angle:
hkl, two_theta, intensity
4 6 0, 29.4, 98
2 4 1, 29.8, 30
3 3 1, 30.7, 31
6 0 0, 31.4, 16
1 9 0, 31.5, 27
0 6 1, 32.0, 82
4 0 1, 32.1, 100
3 5 1, 33.7, 15
0 0 2, 49.6, 22
4 6 2, 58.7, 28

Cell and atoms:
```
data_Pr11Dy9Ho4
_chemical_formula_sum 'Pr22 Dy18 Ho8'
_symmetry_space_group_name_H-M 'C m m m'
_symmetry_Int_Tables_number 65
_symmetry_space_group_name_Hall '-C 2 2'
_cell_length_a 17.0925
_cell_length_b 25.8974
_cell_length_c 3.6771
_cell_angle_alpha 90.00
_cell_angle_beta 90.00
_cell_angle_gamma 90.00
loop_
_atom_site_label
_atom_site_fract_x
_atom_site_fract_y
_atom_site_fract_z
_atom_site_occupancy
Pr1 0.0000 0.0000 0.0000 1
Pr2 0.0000 0.1604 0.0000 1
Pr3 0.0000 0.3686 0.0000 1
Pr4 0.2071 0.5000 0.0000 1
Pr5 0.2237 0.1811 0.0000 1
Dy1 0.0000 0.5000 0.5000 1
Dy2 0.1019 0.2677 0.5000 1
Dy3 0.1411 0.0726 0.5000 1
Ho1 0.1573 0.3981 0.5000 1
```